# SmH9C5N2O8
Simulated PXRD pattern, λ = 1.5418 Å (Cu Kα). Input: a GGA-PBE-relaxed structure.
Lines closer than 0.1° are merged.

Structure:
Unit cell a=9.9667 b=9.9667 c=8.7585 alpha=90.00 beta=90.00 gamma=139.70
Sites, in units of the cell vectors:
Sm  0.1423  0.8577  0.7500
Sm  0.8577  0.1423  0.2500
H  0.0819  0.5070  0.5521
H  0.1770  0.3628  0.8954
H  0.2279  0.2279  0.5000
H  0.3170  0.6831  0.2500
H  0.3418  0.3580  0.8290
H  0.3460  0.6540  0.7500
H  0.3580  0.3418  0.1710
H  0.3628  0.1770  0.1046
H  0.4930  0.9181  0.9479
H  0.5070  0.0819  0.4479
H  0.6372  0.8230  0.6046
H  0.6420  0.6582  0.6710
H  0.6540  0.3460  0.2500
H  0.6582  0.6420  0.3290
H  0.6831  0.3170  0.7500
H  0.7721  0.7721  0.0000
H  0.8230  0.6372  0.3954
H  0.9181  0.4930  0.0521
C  0.0071  0.5221  0.4725
C  0.0666  0.0666  0.5000
C  0.3763  0.6237  0.2500
C  0.4047  0.5953  0.7500
C  0.4779  0.9929  0.0275
C  0.5221  0.0071  0.5275
C  0.5953  0.4047  0.2500
C  0.6237  0.3763  0.7500
C  0.9334  0.9334  0.0000
C  0.9929  0.4779  0.9725
N  0.3031  0.4287  0.8321
N  0.4287  0.3031  0.1679
N  0.5713  0.6969  0.6679
N  0.6969  0.5713  0.3321
O  0.0015  0.6398  0.5123
O  0.0277  0.9300  0.5720
O  0.0673  0.5806  0.8487
O  0.0700  0.9723  0.9280
O  0.2455  0.4295  0.2645
O  0.3602  0.9985  0.9877
O  0.4194  0.9327  0.6513
O  0.4295  0.2455  0.7355
O  0.5705  0.7545  0.2355
O  0.5806  0.0673  0.1513
O  0.6398  0.0015  0.4877
O  0.7545  0.5705  0.7645
O  0.9300  0.0277  0.4280
O  0.9327  0.4194  0.3487
O  0.9723  0.0700  0.0720
O  0.9985  0.3602  0.0123

Principal peaks in the range 5 to 70 degrees two-theta, by angle:
d 6.447, intensity 26
d 6.394, intensity 100
d 5.192, intensity 76
d 4.617, intensity 19
d 4.379, intensity 15
d 3.197, intensity 28
d 3.177, intensity 23
d 3.025, intensity 23
d 2.183, intensity 14
d 2.165, intensity 19